For Pr3Zn2Cd7, a crystal structure in Alexandria, relaxed with PBE gives the calculated powder diffraction line list in this record (CuKα).
No peak broadening, texture or thermal motion is included.

Structure:
```
data_Pr3Zn2Cd7
_symmetry_space_group_name_H-M 'R -3 m'
_symmetry_Int_Tables_number 166
_symmetry_space_group_name_Hall '-R 3 2"'
_cell_length_a 5.9763
_cell_length_b 5.9763
_cell_length_c 28.0852
_cell_angle_alpha 90.00
_cell_angle_beta 90.00
_cell_angle_gamma 120.00
loop_
_atom_site_label
_atom_site_fract_x
_atom_site_fract_y
_atom_site_fract_z
Pr1 0.0000 0.0000 0.0000
Pr2 0.0000 0.0000 0.1404
Zn1 0.0000 0.0000 0.3348
Cd1 0.0000 0.0000 0.5000
Cd2 0.0053 0.5026 0.9203
```

Main lines, in order of falling intensity (5 to 70 degrees two-theta):
2theta	I (rel.)	(hkl)
35.65	100	1 1 6
34.82	48	0 2 1
30.78	38	0 1 8
38.29	31	2 0 5
28.14	29	1 0 7
62.13	29	2 2 0
29.90	27	1 1 0
56.88	25	3 0 6
58.18	23	2 0 14
35.27	21	2 0 2